Starting from a PBE-relaxed structure, the X-ray powder pattern of Li3Ni2Ge3 was computed for Cu Kα, 1.54184 Å.
Peak positions follow from Bragg's law for the DFT cell and can differ from measured ones.

```
data_Li3Ni2Ge3
_chemical_formula_sum 'Li9 Ni6 Ge9'
_cell_length_a 4.1781
_cell_length_b 4.1781
_cell_length_c 20.6731
_cell_angle_alpha 90.00
_cell_angle_beta 90.00
_cell_angle_gamma 120.00
_symmetry_space_group_name_H-M 'R 3 m'
_symmetry_Int_Tables_number 160
_symmetry_space_group_name_Hall 'R 3 -2"'
loop_
_atom_site_label
_atom_site_fract_x
_atom_site_fract_y
_atom_site_fract_z
Li1 0.0000 0.0000 0.0000
Li2 0.0000 0.0000 0.1244
Li3 0.0000 0.0000 0.5008
Ni1 0.0000 0.0000 0.2540
Ni2 0.0000 0.0000 0.7417
Ge1 0.0000 0.0000 0.3821
Ge2 0.0000 0.0000 0.6234
Ge3 0.0000 0.0000 0.8665
```

Principal peaks in the range 2θ from 5° to 70°, by angle:
- hkl 0 0 3, 2θ = 12.85°, I = 18
- hkl 1 0 1, 2θ = 24.98°, I = 21
- hkl 0 0 6, 2θ = 25.86°, I = 19
- hkl 0 1 2, 2θ = 26.09°, I = 54
- hkl 1 0 4, 2θ = 30.15°, I = 16
- hkl 0 1 5, 2θ = 32.89°, I = 13
- hkl 0 0 9, 2θ = 39.22°, I = 9
- hkl 0 1 8, 2θ = 43.01°, I = 92
- hkl 1 1 0, 2θ = 43.31°, I = 100
- hkl 1 1 6, 2θ = 51.13°, I = 17
- hkl 1 1 9, 2θ = 59.84°, I = 15
- hkl 2 0 8, 2θ = 62.69°, I = 29